Record 1
Simulated XRD peak list
Compound: CsNb2S4
Radiation: λ = 1.5418 Å (Cu Kα)
Structure: a structure optimized by DFT (GGA-PBE)

The 6 most intense peaks (2θ = 10–90°), low angle first:
| 2θ/deg | I/Imax |
| --- | --- |
| 10.31 | 45 |
| 20.71 | 31 |
| 29.71 | 43 |
| 30.17 | 35 |
| 36.49 | 100 |
| 52.40 | 30 |

Cell and atoms:
a = 3.472 Å, b = 3.472 Å, c = 17.158 Å
α = 90.00°, β = 90.00°, γ = 120.00°
Sites, in units of the cell vectors:
Cs1 0.000 0.000 0.000
Nb1 0.000 0.000 0.248
Nb2 0.000 0.000 0.752
S1 0.333 0.667 0.665
S2 0.333 0.667 0.843
S3 0.667 0.333 0.157
S4 0.667 0.333 0.335


Record 2
Simulated XRD peak list
Compound: Ba6YTl3Cu6O21
Radiation: λ = 1.5418 Å (Cu Kα)
Structure: a structure optimized by DFT (GGA-PBE)

The 6 most intense peaks (2θ = 10–90°), low angle first:
| 2θ/deg | I/Imax |
| --- | --- |
| 27.16 | 75 |
| 27.47 | 71 |
| 31.11 | 60 |
| 31.37 | 60 |
| 33.84 | 100 |
| 48.46 | 55 |

Cell and atoms:
a = 3.720 Å, b = 13.321 Å, c = 11.319 Å
α = 90.00°, β = 90.12°, γ = 90.00°
Sites, in units of the cell vectors:
Ba1 0.000 0.208 0.000
Ba2 0.000 0.210 0.333
Ba3 0.000 0.790 0.333
Ba4 0.000 0.792 0.000
Ba5 0.002 0.209 0.667
Ba6 0.002 0.791 0.667
Y1 0.000 0.500 0.333
Tl1 0.496 0.000 0.497
Tl2 0.508 0.000 0.828
Tl3 0.518 0.000 0.163
Cu1 0.498 0.395 0.834
Cu2 0.498 0.605 0.834
Cu3 0.499 0.390 0.151
Cu4 0.499 0.610 0.151
Cu5 0.501 0.390 0.516
Cu6 0.501 0.610 0.516
O1 0.001 0.381 0.177
O2 0.001 0.619 0.177
O3 0.002 0.381 0.490
O4 0.002 0.619 0.490
O5 0.008 0.000 0.667
O6 0.498 0.158 0.169
O7 0.498 0.842 0.169
O8 0.499 0.157 0.498
O9 0.499 0.843 0.498
O10 0.500 0.361 0.992
O11 0.500 0.393 0.334
O12 0.500 0.607 0.334
O13 0.500 0.639 0.992
O14 0.501 0.155 0.833
O15 0.501 0.845 0.833
O16 0.504 0.362 0.675
O17 0.504 0.638 0.675
O18 0.980 0.000 0.008
O19 0.984 0.000 0.336
O20 0.999 0.368 0.833
O21 0.999 0.632 0.833


Record 3
Simulated XRD peak list
Compound: Nb6SiSn
Radiation: λ = 1.5418 Å (Cu Kα)
Structure: a structure optimized by DFT (GGA-PBE)

The 6 most intense peaks (2θ = 10–90°), low angle first:
| 2θ/deg | I/Imax |
| --- | --- |
| 34.24 | 27 |
| 38.44 | 100 |
| 42.27 | 58 |
| 64.11 | 23 |
| 66.84 | 30 |
| 84.84 | 19 |

Cell and atoms:
a = 5.237 Å, b = 5.237 Å, c = 5.237 Å
α = 90.00°, β = 90.00°, γ = 90.00°
Sites, in units of the cell vectors:
Nb1 0.000 0.259 0.500
Nb2 0.000 0.741 0.500
Nb3 0.259 0.500 0.000
Nb4 0.500 0.000 0.259
Nb5 0.500 0.000 0.741
Nb6 0.741 0.500 0.000
Si1 0.500 0.500 0.500
Sn1 0.000 0.000 0.000


Record 4
Simulated XRD peak list
Compound: LuAlGe
Radiation: λ = 1.5418 Å (Cu Kα)
Structure: a structure optimized by DFT (GGA-PBE)

The 6 most intense peaks (2θ = 10–90°), low angle first:
| 2θ/deg | I/Imax |
| --- | --- |
| 28.50 | 89 |
| 31.54 | 66 |
| 34.41 | 100 |
| 38.00 | 66 |
| 38.60 | 65 |
| 39.83 | 63 |

Cell and atoms:
a = 5.502 Å, b = 5.502 Å, c = 5.673 Å
α = 90.00°, β = 90.00°, γ = 136.96°
Sites, in units of the cell vectors:
Lu1 0.190 0.810 0.750
Lu2 0.810 0.190 0.250
Al1 0.500 0.500 0.000
Al2 0.500 0.500 0.500
Ge1 0.108 0.892 0.250
Ge2 0.892 0.108 0.750


Record 5
Simulated XRD peak list
Compound: NaLuCl4
Radiation: λ = 1.5418 Å (Cu Kα)
Structure: a structure optimized by DFT (GGA-PBE)

The 6 most intense peaks (2θ = 10–90°), low angle first:
| 2θ/deg | I/Imax |
| --- | --- |
| 11.01 | 42 |
| 15.01 | 100 |
| 17.36 | 50 |
| 20.16 | 42 |
| 25.59 | 57 |
| 38.64 | 53 |

Cell and atoms:
a = 6.345 Å, b = 16.067 Å, c = 6.621 Å
α = 90.00°, β = 90.00°, γ = 90.00°
Sites, in units of the cell vectors:
Na1 0.000 0.181 0.250
Na2 0.000 0.819 0.750
Na3 0.500 0.319 0.750
Na4 0.500 0.681 0.250
Lu1 0.000 0.428 0.250
Lu2 0.000 0.572 0.750
Lu3 0.500 0.072 0.750
Lu4 0.500 0.928 0.250
Cl1 0.229 0.451 0.573
Cl2 0.229 0.549 0.073
Cl3 0.235 0.319 0.100
Cl4 0.235 0.681 0.600
Cl5 0.265 0.181 0.600
Cl6 0.265 0.819 0.100
Cl7 0.271 0.049 0.073
Cl8 0.271 0.951 0.573
Cl9 0.729 0.049 0.427
Cl10 0.729 0.951 0.927
Cl11 0.735 0.181 0.900
Cl12 0.735 0.819 0.400
Cl13 0.765 0.319 0.400
Cl14 0.765 0.681 0.900
Cl15 0.771 0.451 0.927
Cl16 0.771 0.549 0.427


Record 6
Simulated XRD peak list
Compound: Si4BiO10
Radiation: λ = 1.5418 Å (Cu Kα)
Structure: a structure optimized by DFT (GGA-PBE)

The 6 most intense peaks (2θ = 10–90°), low angle first:
| 2θ/deg | I/Imax |
| --- | --- |
| 16.65 | 99 |
| 19.86 | 100 |
| 24.66 | 93 |
| 26.02 | 85 |
| 28.64 | 45 |
| 34.81 | 42 |

Cell and atoms:
a = 7.531 Å, b = 7.531 Å, c = 16.456 Å
α = 90.00°, β = 90.00°, γ = 90.00°
Sites, in units of the cell vectors:
Si1 0.005 0.081 0.156
Si2 0.005 0.419 0.656
Si3 0.081 0.005 0.656
Si4 0.081 0.495 0.156
Si5 0.419 0.005 0.156
Si6 0.419 0.495 0.656
Si7 0.495 0.081 0.656
Si8 0.495 0.419 0.156
Si9 0.505 0.581 0.844
Si10 0.505 0.919 0.344
Si11 0.581 0.505 0.344
Si12 0.581 0.995 0.844
Si13 0.919 0.505 0.844
Si14 0.919 0.995 0.344
Si15 0.995 0.581 0.344
Si16 0.995 0.919 0.844
Bi1 0.250 0.250 0.460
Bi2 0.250 0.250 0.960
Bi3 0.750 0.750 0.040
Bi4 0.750 0.750 0.540
O1 0.007 0.206 0.637
O2 0.007 0.294 0.137
O3 0.011 0.136 0.406
O4 0.011 0.364 0.906
O5 0.049 0.549 0.250
O6 0.049 0.951 0.750
O7 0.136 0.011 0.906
O8 0.136 0.489 0.406
O9 0.206 0.007 0.137
O10 0.206 0.493 0.637
O11 0.294 0.007 0.637
O12 0.294 0.493 0.137
O13 0.364 0.011 0.406
O14 0.364 0.489 0.906
O15 0.451 0.549 0.750
O16 0.451 0.951 0.250
O17 0.489 0.136 0.906
O18 0.489 0.364 0.406
O19 0.493 0.206 0.137
O20 0.493 0.294 0.637
O21 0.507 0.706 0.363
O22 0.507 0.794 0.863
O23 0.511 0.636 0.594
O24 0.511 0.864 0.094
O25 0.549 0.049 0.750
O26 0.549 0.451 0.250
O27 0.636 0.511 0.094
O28 0.636 0.989 0.594
O29 0.706 0.507 0.863
O30 0.706 0.993 0.363
O31 0.794 0.507 0.363
O32 0.794 0.993 0.863
O33 0.864 0.511 0.594
O34 0.864 0.989 0.094
O35 0.951 0.049 0.250
O36 0.951 0.451 0.750
O37 0.989 0.636 0.094
O38 0.989 0.864 0.594
O39 0.993 0.706 0.863
O40 0.993 0.794 0.363


Record 7
Simulated XRD peak list
Compound: Mg6NbAlO8
Radiation: λ = 1.5418 Å (Cu Kα)
Structure: a structure optimized by DFT (GGA-PBE)

The 6 most intense peaks (2θ = 10–90°), low angle first:
| 2θ/deg | I/Imax |
| --- | --- |
| 10.20 | 28 |
| 20.48 | 19 |
| 35.87 | 27 |
| 41.65 | 100 |
| 60.37 | 58 |
| 76.02 | 18 |

Cell and atoms:
a = 4.336 Å, b = 4.336 Å, c = 8.676 Å
α = 90.00°, β = 90.00°, γ = 90.00°
Sites, in units of the cell vectors:
Mg1 0.000 0.000 0.000
Mg2 0.000 0.500 0.246
Mg3 0.000 0.500 0.754
Mg4 0.500 0.000 0.246
Mg5 0.500 0.000 0.754
Mg6 0.500 0.500 0.000
Nb1 0.000 0.000 0.500
Al1 0.500 0.500 0.500
O1 0.000 0.000 0.235
O2 0.000 0.000 0.765
O3 0.000 0.500 0.000
O4 0.000 0.500 0.500
O5 0.500 0.000 0.000
O6 0.500 0.000 0.500
O7 0.500 0.500 0.255
O8 0.500 0.500 0.745


Record 8
Simulated XRD peak list
Compound: ZrNi2Sb
Radiation: λ = 1.5418 Å (Cu Kα)
Structure: a structure optimized by DFT (GGA-PBE)

The 6 most intense peaks (2θ = 10–90°), low angle first:
| 2θ/deg | I/Imax |
| --- | --- |
| 32.57 | 75 |
| 40.83 | 70 |
| 42.70 | 100 |
| 54.71 | 17 |
| 60.56 | 20 |
| 76.91 | 19 |

Cell and atoms:
a = 4.235 Å, b = 4.235 Å, c = 8.307 Å
α = 90.00°, β = 90.00°, γ = 120.00°
Sites, in units of the cell vectors:
Zr1 0.333 0.667 0.250
Zr2 0.667 0.333 0.750
Ni1 0.333 0.667 0.596
Ni2 0.333 0.667 0.904
Ni3 0.667 0.333 0.096
Ni4 0.667 0.333 0.404
Sb1 0.000 0.000 0.000
Sb2 0.000 0.000 0.500


Record 9
Simulated XRD peak list
Compound: NbRh
Radiation: λ = 1.5418 Å (Cu Kα)
Structure: a structure optimized by DFT (GGA-PBE)

The 6 most intense peaks (2θ = 10–90°), low angle first:
| 2θ/deg | I/Imax |
| --- | --- |
| 36.90 | 34 |
| 39.24 | 66 |
| 40.47 | 100 |
| 40.64 | 27 |
| 42.52 | 87 |
| 65.78 | 23 |

Cell and atoms:
a = 4.902 Å, b = 2.867 Å, c = 7.089 Å
α = 90.00°, β = 103.69°, γ = 90.00°
Sites, in units of the cell vectors:
Nb1 0.000 0.000 0.000
Nb2 0.254 0.000 0.667
Nb3 0.746 0.000 0.333
Rh1 0.256 0.500 0.335
Rh2 0.500 0.500 0.000
Rh3 0.744 0.500 0.665


Record 10
Simulated XRD peak list
Compound: LaCl3
Radiation: λ = 1.5418 Å (Cu Kα)
Structure: a structure optimized by DFT (GGA-PBE)

The 6 most intense peaks (2θ = 10–90°), low angle first:
| 2θ/deg | I/Imax |
| --- | --- |
| 13.45 | 100 |
| 23.40 | 40 |
| 24.43 | 61 |
| 34.08 | 90 |
| 41.13 | 33 |
| 41.76 | 74 |

Cell and atoms:
a = 7.603 Å, b = 7.603 Å, c = 4.375 Å
α = 90.00°, β = 90.00°, γ = 120.00°
Sites, in units of the cell vectors:
La1 0.333 0.667 0.250
La2 0.667 0.333 0.750
Cl1 0.087 0.392 0.750
Cl2 0.305 0.913 0.750
Cl3 0.392 0.305 0.250
Cl4 0.608 0.695 0.750
Cl5 0.695 0.087 0.250
Cl6 0.913 0.608 0.250


Record 11
Simulated XRD peak list
Compound: Mg2RuN3
Radiation: λ = 1.5418 Å (Cu Kα)
Structure: a structure optimized by DFT (GGA-PBE)

The 6 most intense peaks (2θ = 10–90°), low angle first:
| 2θ/deg | I/Imax |
| --- | --- |
| 17.43 | 74 |
| 24.47 | 81 |
| 30.46 | 60 |
| 34.43 | 42 |
| 35.09 | 100 |
| 62.10 | 33 |

Cell and atoms:
a = 5.875 Å, b = 5.875 Å, c = 5.210 Å
α = 90.00°, β = 90.00°, γ = 59.85°
Sites, in units of the cell vectors:
Mg1 0.007 0.664 0.500
Mg2 0.336 0.993 0.500
Mg3 0.664 0.007 0.000
Mg4 0.993 0.336 0.000
Ru1 0.320 0.680 0.005
Ru2 0.680 0.320 0.505
N1 0.020 0.667 0.907
N2 0.333 0.980 0.907
N3 0.369 0.631 0.374
N4 0.631 0.369 0.874
N5 0.667 0.020 0.407
N6 0.980 0.333 0.407